Theoretical powder X-ray diffraction pattern of ZnSn2P2O10 for λ = 1.5418 Å (Cu Kα), from a crystal structure in Alexandria, relaxed with GGA-PBE.
Peak positions follow from Bragg's law for the DFT cell and can differ from measured ones.

Cell and atoms:
```
data_ZnSn2P2O10
_symmetry_space_group_name_H-M 'P 1'
_symmetry_Int_Tables_number 1
_cell_length_a 9.3988
_cell_length_b 7.1586
_cell_length_c 10.6267
_cell_angle_alpha 60.10
_cell_angle_beta 41.32
_cell_angle_gamma 78.57
loop_
_symmetry_equiv_pos_as_xyz
'x,y,z'
loop_
_atom_site_label
_atom_site_type_symbol
_atom_site_fract_x
_atom_site_fract_y
_atom_site_fract_z
Zn1 Zn 0.0000 0.0000 0.0000
Zn2 Zn 0.2500 0.2500 0.2500
Sn1 Sn 0.3568 0.3569 0.4219
Sn2 Sn 0.3569 0.3568 0.8643
Sn3 Sn 0.3857 0.8281 0.8931
Sn4 Sn 0.8281 0.3857 0.8932
P1 P 0.1736 0.7606 0.7458
P2 P 0.5042 0.9301 0.0764
P3 P 0.7606 0.1736 0.3199
P4 P 0.9301 0.5042 0.4894
O1 O 0.0031 0.2730 0.1764
O2 O 0.0634 0.3247 0.4773
O3 O 0.0736 0.7025 0.2469
O4 O 0.1122 0.2967 0.7317
O5 O 0.1154 0.7727 0.9253
O6 O 0.2730 0.0031 0.5475
O7 O 0.2967 0.1122 0.8594
O8 O 0.3247 0.0634 0.1346
O9 O 0.3475 0.6256 0.6689
O10 O 0.3906 0.5183 0.9533
O11 O 0.3950 0.7022 0.2931
O12 O 0.5183 0.3906 0.1378
O13 O 0.5811 0.8921 0.9025
O14 O 0.6256 0.3475 0.3579
O15 O 0.6403 0.9569 0.5478
O16 O 0.7022 0.3950 0.6097
O17 O 0.7025 0.0736 0.9770
O18 O 0.7727 0.1154 0.1866
O19 O 0.8921 0.5811 0.6244
O20 O 0.9569 0.6403 0.8550
```

Main lines, sorted by position (2θ = 10–90°):
2θ 15.00, I = 946
2θ 20.90, I = 134
2θ 25.42, I = 221
2θ 26.50, I = 195
2θ 29.40, I = 1000
2θ 30.27, I = 518
2θ 35.78, I = 153
2θ 41.73, I = 181
2θ 42.54, I = 188
2θ 54.56, I = 136


Theoretical powder X-ray diffraction pattern of SrP2O2 for λ = 1.5418 Å (Cu Kα), from a crystal structure in Alexandria, relaxed with GGA-PBE.
Peak positions follow from Bragg's law for the DFT cell and can differ from measured ones.

Cell and atoms:
```
data_SrP2O2
_symmetry_space_group_name_H-M 'P 1'
_symmetry_Int_Tables_number 1
_cell_length_a 4.0024
_cell_length_b 4.0024
_cell_length_c 4.4784
_cell_angle_alpha 90.00
_cell_angle_beta 90.00
_cell_angle_gamma 90.00
loop_
_symmetry_equiv_pos_as_xyz
'x,y,z'
loop_
_atom_site_label
_atom_site_type_symbol
_atom_site_fract_x
_atom_site_fract_y
_atom_site_fract_z
Sr1 Sr 0.0000 0.0000 0.0000
P1 P 0.5000 0.5000 0.0000
P2 P 0.5000 0.5000 0.5000
O1 O 0.0000 0.5000 0.5000
O2 O 0.5000 0.0000 0.5000
```

Main lines, sorted by position (2θ = 10–90°):
2θ 19.82, I = 232
2θ 29.94, I = 987
2θ 31.61, I = 740
2θ 37.60, I = 1000
2θ 40.28, I = 457
2θ 45.32, I = 632
2θ 52.08, I = 367
2θ 55.27, I = 342
2θ 62.22, I = 473
2θ 80.25, I = 249


Theoretical powder X-ray diffraction pattern of Sr5P3O14 for λ = 1.5418 Å (Cu Kα), from a crystal structure in Alexandria, relaxed with GGA-PBE.
Peak positions follow from Bragg's law for the DFT cell and can differ from measured ones.

Cell and atoms:
```
data_Sr5P3O14
_symmetry_space_group_name_H-M 'P 1'
_symmetry_Int_Tables_number 1
_cell_length_a 9.9121
_cell_length_b 9.9121
_cell_length_c 7.3276
_cell_angle_alpha 90.00
_cell_angle_beta 90.00
_cell_angle_gamma 120.00
loop_
_symmetry_equiv_pos_as_xyz
'x,y,z'
loop_
_atom_site_label
_atom_site_type_symbol
_atom_site_fract_x
_atom_site_fract_y
_atom_site_fract_z
Sr1 Sr 0.0087 0.2545 0.2500
Sr2 Sr 0.2459 0.9913 0.2500
Sr3 Sr 0.2545 0.2459 0.7500
Sr4 Sr 0.3333 0.6667 0.0000
Sr5 Sr 0.3333 0.6667 0.5000
Sr6 Sr 0.6667 0.3333 0.0000
Sr7 Sr 0.6667 0.3333 0.5000
Sr8 Sr 0.7455 0.7541 0.2500
Sr9 Sr 0.7541 0.0087 0.7500
Sr10 Sr 0.9913 0.7455 0.7500
P1 P 0.0323 0.4021 0.7500
P2 P 0.3698 0.9677 0.7500
P3 P 0.4021 0.3698 0.2500
P4 P 0.5979 0.6302 0.7500
P5 P 0.6302 0.0323 0.2500
P6 P 0.9677 0.5979 0.2500
O1 O 0.0000 0.0000 0.0916
O2 O 0.0000 0.0000 0.4084
O3 O 0.0000 0.0000 0.5916
O4 O 0.0000 0.0000 0.9084
O5 O 0.0858 0.3492 0.5780
O6 O 0.0858 0.3492 0.9220
O7 O 0.1190 0.5840 0.7500
O8 O 0.1476 0.6673 0.2500
O9 O 0.2634 0.9142 0.5780
O10 O 0.2634 0.9142 0.9220
O11 O 0.3327 0.4803 0.2500
O12 O 0.3492 0.2634 0.0780
O13 O 0.3492 0.2634 0.4220
O14 O 0.4160 0.5349 0.7500
O15 O 0.4651 0.8810 0.7500
O16 O 0.4803 0.1476 0.7500
O17 O 0.5197 0.8524 0.2500
O18 O 0.5349 0.1190 0.2500
O19 O 0.5840 0.4651 0.2500
O20 O 0.6508 0.7366 0.5780
O21 O 0.6508 0.7366 0.9220
O22 O 0.6673 0.5197 0.7500
O23 O 0.7366 0.0858 0.0780
O24 O 0.7366 0.0858 0.4220
O25 O 0.8524 0.3327 0.7500
O26 O 0.8810 0.4160 0.2500
O27 O 0.9142 0.6508 0.0780
O28 O 0.9142 0.6508 0.4220
```

Main lines, sorted by position (2θ = 10–90°):
2θ 27.49, I = 226
2θ 30.12, I = 1000
2θ 30.34, I = 892
2θ 31.26, I = 614
2θ 44.12, I = 395
2θ 45.43, I = 170
2θ 46.54, I = 335
2θ 47.83, I = 235
2θ 48.60, I = 231
2θ 49.20, I = 228


Theoretical powder X-ray diffraction pattern of Sr2P2O7 for λ = 1.5418 Å (Cu Kα), from a crystal structure in Alexandria, relaxed with GGA-PBE.
Peak positions follow from Bragg's law for the DFT cell and can differ from measured ones.

Cell and atoms:
```
data_Sr2P2O7
_symmetry_space_group_name_H-M 'P 1'
_symmetry_Int_Tables_number 1
_cell_length_a 9.0217
_cell_length_b 5.4634
_cell_length_c 13.3247
_cell_angle_alpha 90.00
_cell_angle_beta 90.00
_cell_angle_gamma 90.00
loop_
_symmetry_equiv_pos_as_xyz
'x,y,z'
loop_
_atom_site_label
_atom_site_type_symbol
_atom_site_fract_x
_atom_site_fract_y
_atom_site_fract_z
Sr1 Sr 0.1261 0.2500 0.0865
Sr2 Sr 0.1735 0.2500 0.7608
Sr3 Sr 0.3265 0.7500 0.2608
Sr4 Sr 0.3739 0.7500 0.5865
Sr5 Sr 0.6261 0.2500 0.4135
Sr6 Sr 0.6735 0.2500 0.7392
Sr7 Sr 0.8265 0.7500 0.2392
Sr8 Sr 0.8739 0.7500 0.9135
P1 P 0.0324 0.2500 0.3172
P2 P 0.2236 0.7500 0.9646
P3 P 0.2764 0.2500 0.4646
P4 P 0.4676 0.7500 0.8172
P5 P 0.5324 0.2500 0.1828
P6 P 0.7236 0.7500 0.5354
P7 P 0.7764 0.2500 0.0354
P8 P 0.9676 0.7500 0.6828
O1 O 0.0834 0.0180 0.2617
O2 O 0.0834 0.4820 0.2617
O3 O 0.1051 0.2500 0.4292
O4 O 0.1342 0.7500 0.6661
O5 O 0.1464 0.5185 0.9240
O6 O 0.1464 0.9815 0.9240
O7 O 0.2272 0.7500 0.0792
O8 O 0.2728 0.2500 0.5792
O9 O 0.3536 0.0185 0.4240
O10 O 0.3536 0.4815 0.4240
O11 O 0.3658 0.2500 0.1661
O12 O 0.3949 0.7500 0.9292
O13 O 0.4166 0.5180 0.7617
O14 O 0.4166 0.9820 0.7617
O15 O 0.5834 0.0180 0.2383
O16 O 0.5834 0.4820 0.2383
O17 O 0.6051 0.2500 0.0708
O18 O 0.6342 0.7500 0.8339
O19 O 0.6464 0.5185 0.5760
O20 O 0.6464 0.9815 0.5760
O21 O 0.7272 0.7500 0.4208
O22 O 0.7728 0.2500 0.9208
O23 O 0.8536 0.0185 0.0760
O24 O 0.8536 0.4815 0.0760
O25 O 0.8658 0.2500 0.3339
O26 O 0.8949 0.7500 0.5708
O27 O 0.9166 0.5180 0.7383
O28 O 0.9166 0.9820 0.7383
```

Main lines, sorted by position (2θ = 10–90°):
2θ 11.85, I = 416
2θ 25.61, I = 739
2θ 25.85, I = 1000
2θ 26.48, I = 350
2θ 28.20, I = 269
2θ 32.78, I = 394
2θ 33.02, I = 271
2θ 40.60, I = 371
2θ 43.78, I = 754
2θ 48.64, I = 333


Theoretical powder X-ray diffraction pattern of Sr3P4O13 for λ = 1.5418 Å (Cu Kα), from a crystal structure in Alexandria, relaxed with GGA-PBE.
Peak positions follow from Bragg's law for the DFT cell and can differ from measured ones.

Cell and atoms:
```
data_Sr3P4O13
_symmetry_space_group_name_H-M 'P 1'
_symmetry_Int_Tables_number 1
_cell_length_a 7.3563
_cell_length_b 7.8682
_cell_length_c 10.3055
_cell_angle_alpha 102.69
_cell_angle_beta 103.12
_cell_angle_gamma 94.16
loop_
_symmetry_equiv_pos_as_xyz
'x,y,z'
loop_
_atom_site_label
_atom_site_type_symbol
_atom_site_fract_x
_atom_site_fract_y
_atom_site_fract_z
Sr1 Sr 0.2074 0.2216 0.1377
Sr2 Sr 0.2498 0.0167 0.7565
Sr3 Sr 0.2861 0.7701 0.3744
Sr4 Sr 0.7139 0.2299 0.6256
Sr5 Sr 0.7502 0.9833 0.2435
Sr6 Sr 0.7926 0.7784 0.8623
P1 P 0.1396 0.4622 0.8603
P2 P 0.1706 0.1901 0.4895
P3 P 0.3258 0.8119 0.0219
P4 P 0.3612 0.5370 0.6520
P5 P 0.6388 0.4630 0.3480
P6 P 0.6742 0.1881 0.9781
P7 P 0.8294 0.8099 0.5105
P8 P 0.8604 0.5378 0.1397
O1 O 0.0268 0.1812 0.5737
O2 O 0.0457 0.4913 0.2102
O3 O 0.0980 0.1288 0.3335
O4 O 0.1379 0.2855 0.8950
O5 O 0.1631 0.9022 0.9541
O6 O 0.2362 0.6055 0.0004
O7 O 0.2432 0.4009 0.5151
O8 O 0.2917 0.4715 0.7719
O9 O 0.3154 0.7163 0.6360
O10 O 0.3451 0.1032 0.5438
O11 O 0.3814 0.8824 0.1787
O12 O 0.4332 0.4869 0.3182
O13 O 0.4907 0.8089 0.9563
O14 O 0.5093 0.1911 0.0437
O15 O 0.5668 0.5131 0.6818
O16 O 0.6186 0.1176 0.8213
O17 O 0.6549 0.8968 0.4562
O18 O 0.6846 0.2837 0.3640
O19 O 0.7083 0.5285 0.2281
O20 O 0.7568 0.5991 0.4849
O21 O 0.7638 0.3945 0.9996
O22 O 0.8369 0.0978 0.0459
O23 O 0.8621 0.7145 0.1050
O24 O 0.9020 0.8712 0.6665
O25 O 0.9543 0.5087 0.7898
O26 O 0.9732 0.8188 0.4263
```

Main lines, sorted by position (2θ = 10–90°):
2θ 25.07, I = 727
2θ 25.82, I = 629
2θ 27.56, I = 1000
2θ 27.60, I = 466
2θ 29.08, I = 401
2θ 30.10, I = 343
2θ 32.18, I = 608
2θ 33.09, I = 252
2θ 33.22, I = 270
2θ 42.43, I = 325


Theoretical powder X-ray diffraction pattern of Sr2PO4 for λ = 1.5418 Å (Cu Kα), from a crystal structure in Alexandria, relaxed with GGA-PBE.
Peak positions follow from Bragg's law for the DFT cell and can differ from measured ones.

Cell and atoms:
```
data_Sr2PO4
_symmetry_space_group_name_H-M 'P 1'
_symmetry_Int_Tables_number 1
_cell_length_a 5.5219
_cell_length_b 7.4298
_cell_length_c 7.1560
_cell_angle_alpha 90.00
_cell_angle_beta 110.43
_cell_angle_gamma 90.00
loop_
_symmetry_equiv_pos_as_xyz
'x,y,z'
loop_
_atom_site_label
_atom_site_type_symbol
_atom_site_fract_x
_atom_site_fract_y
_atom_site_fract_z
Sr1 Sr 0.0556 0.2500 0.3594
Sr2 Sr 0.3656 0.2500 0.9073
Sr3 Sr 0.6344 0.7500 0.0927
Sr4 Sr 0.9444 0.7500 0.6406
P1 P 0.2064 0.7500 0.2776
P2 P 0.7936 0.2500 0.7224
O1 O 0.0683 0.5859 0.3336
O2 O 0.0683 0.9141 0.3336
O3 O 0.1487 0.7500 0.0463
O4 O 0.4967 0.2500 0.6152
O5 O 0.5033 0.7500 0.3848
O6 O 0.8513 0.2500 0.9537
O7 O 0.9317 0.0859 0.6664
O8 O 0.9317 0.4141 0.6664
```

Main lines, sorted by position (2θ = 10–90°):
2θ 23.95, I = 1000
2θ 25.14, I = 289
2θ 26.14, I = 407
2θ 27.91, I = 338
2θ 29.22, I = 417
2θ 34.68, I = 504
2θ 35.75, I = 198
2θ 41.57, I = 189
2θ 45.53, I = 213
2θ 49.46, I = 260


Theoretical powder X-ray diffraction pattern of Sr2P6O17 for λ = 1.5418 Å (Cu Kα), from a crystal structure in Alexandria, relaxed with GGA-PBE.
Peak positions follow from Bragg's law for the DFT cell and can differ from measured ones.

Cell and atoms:
```
data_Sr2P6O17
_symmetry_space_group_name_H-M 'P 1'
_symmetry_Int_Tables_number 1
_cell_length_a 7.2990
_cell_length_b 13.6018
_cell_length_c 7.3894
_cell_angle_alpha 90.00
_cell_angle_beta 105.21
_cell_angle_gamma 90.00
loop_
_symmetry_equiv_pos_as_xyz
'x,y,z'
loop_
_atom_site_label
_atom_site_type_symbol
_atom_site_fract_x
_atom_site_fract_y
_atom_site_fract_z
Sr1 Sr 0.1723 0.0000 0.3680
Sr2 Sr 0.2194 0.2822 0.6781
Sr3 Sr 0.7806 0.7822 0.3219
Sr4 Sr 0.8277 0.5000 0.6320
P1 P 0.0062 0.2193 0.0953
P2 P 0.2447 0.5419 0.0354
P3 P 0.2769 0.5154 0.4553
P4 P 0.3171 0.7358 0.4983
P5 P 0.3226 0.0317 0.8763
P6 P 0.3436 0.8191 0.8803
P7 P 0.6564 0.3191 0.1197
P8 P 0.6774 0.5317 0.1237
P9 P 0.6829 0.2358 0.5017
P10 P 0.7231 0.0154 0.5447
P11 P 0.7553 0.0419 0.9646
P12 P 0.9938 0.7193 0.9047
O1 O 0.0763 0.1762 0.2877
O2 O 0.1283 0.4518 0.5032
O3 O 0.1292 0.8130 0.8884
O4 O 0.1339 0.2514 0.9811
O5 O 0.1479 0.4776 0.8787
O6 O 0.1588 0.6480 0.0370
O7 O 0.1612 0.8089 0.4207
O8 O 0.2142 0.6288 0.4663
O9 O 0.2345 0.0205 0.0344
O10 O 0.2392 0.0935 0.7066
O11 O 0.2455 0.4969 0.2301
O12 O 0.3490 0.9234 0.7834
O13 O 0.3704 0.7419 0.7307
O14 O 0.4572 0.5652 0.0375
O15 O 0.4806 0.4993 0.5508
O16 O 0.4837 0.8083 0.0625
O17 O 0.5001 0.2369 0.5531
O18 O 0.4999 0.7369 0.4469
O19 O 0.5163 0.3083 0.9375
O20 O 0.5194 0.9993 0.4492
O21 O 0.5428 0.0652 0.9625
O22 O 0.6296 0.2419 0.2693
O23 O 0.6510 0.4234 0.2166
O24 O 0.7545 0.9969 0.7699
O25 O 0.7608 0.5935 0.2934
O26 O 0.7655 0.5205 0.9656
O27 O 0.7858 0.1288 0.5337
O28 O 0.8388 0.3089 0.5793
O29 O 0.8412 0.1480 0.9630
O30 O 0.8521 0.9776 0.1213
O31 O 0.8661 0.7514 0.0189
O32 O 0.8708 0.3130 0.1116
O33 O 0.8717 0.9518 0.4968
O34 O 0.9237 0.6762 0.7123
```

Main lines, sorted by position (2θ = 10–90°):
2θ 20.05, I = 325
2θ 23.86, I = 748
2θ 25.09, I = 225
2θ 25.29, I = 402
2θ 25.72, I = 363
2θ 25.83, I = 533
2θ 25.95, I = 317
2θ 26.20, I = 1000
2θ 28.14, I = 238
2θ 30.43, I = 231